# 1
For BeZnInNiPd, a cell relaxed with GGA-PBE gives the theoretical powder X-ray diffraction pattern in this record (Cu Ka).

The 6 most intense peaks (2θ = 10–90°), low angle first:
| d_spacing | 2θ (°) | Rel. int. | (hkl) |
| --- | --- | --- | --- |
| 7.727 | 11.45 | 25 | 0 0 2 |
| 2.950 | 30.30 | 19 | 1 0 1 |
| 2.596 | 34.55 | 39 | 1 0 3 |
| 2.155 | 41.93 | 100 | 1 0 5 |
| 2.125 | 42.54 | 55 | 1 1 0 |
| 1.232 | 77.44 | 31 | 2 1 5 |

Lattice parameters (Å, degrees): 3.0051 3.0051 15.4547 90.00 90.00 90.00
Positions (direct):
Be 0.0000 0.0000 0.0000
Be 0.5000 0.5000 0.5000
Zn 0.0000 0.0000 0.1522
Zn 0.5000 0.5000 0.6522
In 0.0000 0.0000 0.3784
In 0.5000 0.5000 0.8784
Ni 0.0000 0.0000 0.5547
Ni 0.5000 0.5000 0.0547
Pd 0.0000 0.0000 0.7562
Pd 0.5000 0.5000 0.2562

---

# 2
For Er5Ni3, a cell relaxed with GGA-PBE gives the theoretical powder X-ray diffraction pattern in this record (Cu Ka).

The 6 most intense peaks (2θ = 10–90°), low angle first:
| d_spacing | 2θ (°) | Rel. int. | (hkl) |
| --- | --- | --- | --- |
| 3.381 | 26.36 | 27 | 3 1 0 |
| 2.967 | 30.12 | 100 | 3 1 1 |
| 2.674 | 33.52 | 53 | 3 2 1 |
| 2.595 | 34.57 | 34 | 2 1 2 |
| 2.391 | 37.62 | 97 | 4 2 0 |
| 1.512 | 61.29 | 31 | 5 5 0 |

Lattice parameters (Å, degrees): 10.6924 10.6924 6.1786 90.00 90.00 90.00
Positions (direct):
Er 0.0431 0.1601 0.1198
Er 0.0431 0.3399 0.6198
Er 0.1601 0.0431 0.6198
Er 0.1601 0.4569 0.1198
Er 0.2500 0.7500 0.0000
Er 0.2500 0.7500 0.5000
Er 0.3399 0.0431 0.1198
Er 0.3399 0.4569 0.6198
Er 0.4569 0.1601 0.6198
Er 0.4569 0.3399 0.1198
Er 0.5431 0.6601 0.8802
Er 0.5431 0.8399 0.3802
Er 0.6601 0.5431 0.3802
Er 0.6601 0.9569 0.8802
Er 0.7500 0.2500 0.0000
Er 0.7500 0.2500 0.5000
Er 0.8399 0.5431 0.8802
Er 0.8399 0.9569 0.3802
Er 0.9569 0.6601 0.3802
Er 0.9569 0.8399 0.8802
Ni 0.0968 0.5968 0.7500
Ni 0.0968 0.9032 0.2500
Ni 0.2500 0.2500 0.3754
Ni 0.2500 0.2500 0.8754
Ni 0.4032 0.5968 0.2500
Ni 0.4032 0.9032 0.7500
Ni 0.5968 0.0968 0.2500
Ni 0.5968 0.4032 0.7500
Ni 0.7500 0.7500 0.1246
Ni 0.7500 0.7500 0.6246
Ni 0.9032 0.0968 0.7500
Ni 0.9032 0.4032 0.2500

---

# 3
For HfZr3Rh6, a cell relaxed with GGA-PBE gives the theoretical powder X-ray diffraction pattern in this record (Cu Ka).

The 6 most intense peaks (2θ = 10–90°), low angle first:
| d_spacing | 2θ (°) | Rel. int. | (hkl) |
| --- | --- | --- | --- |
| 2.374 | 37.89 | 46 | 2 0 -4 |
| 2.331 | 38.62 | 58 | 0 2 0 |
| 2.274 | 39.64 | 87 | 3 1 -1 |
| 2.250 | 40.08 | 100 | 1 1 3 |
| 1.663 | 55.22 | 30 | 2 2 -4 |
| 1.330 | 70.87 | 18 | 1 3 3 |

Lattice parameters (Å, degrees): 7.8419 4.6624 9.9421 90.00 110.06 90.00
Positions (direct):
Hf 0.0562 0.2500 0.4053
Hf 0.9438 0.7500 0.5947
Zr 0.1968 0.2500 0.0144
Zr 0.3697 0.7500 0.8052
Zr 0.4863 0.2500 0.6232
Zr 0.5137 0.7500 0.3768
Zr 0.6303 0.2500 0.1948
Zr 0.8032 0.7500 0.9856
Rh 0.0783 0.7500 0.8734
Rh 0.1487 0.7500 0.1864
Rh 0.1547 0.2500 0.7004
Rh 0.2469 0.7500 0.5052
Rh 0.3428 0.2500 0.3244
Rh 0.4532 0.7500 0.0887
Rh 0.5468 0.2500 0.9113
Rh 0.6572 0.7500 0.6756
Rh 0.7531 0.2500 0.4948
Rh 0.8453 0.7500 0.2996
Rh 0.8513 0.2500 0.8136
Rh 0.9217 0.2500 0.1266